The following is a computed X-ray powder pattern of ScIn4Pb. It was derived from a structure optimized by DFT (GGA-PBE), using λ = 1.5418 Å (Cu Kα).

The 8 most intense peaks (2θ = 10–80°), most intense first:
- 34.7 deg, I = 100
- 36.3 deg, I = 40
- 55.7 deg, I = 34
- 61.2 deg, I = 27
- 29.5 deg, I = 26
- 73.3 deg, I = 15
- 17.9 deg, I = 14
- 20.7 deg, I = 12

Cell and atoms:
Unit cell a=6.0609 b=6.0609 c=6.0609 alpha=60.00 beta=60.00 gamma=60.00
Atoms (fractional coordinates):
Sc  0.0000  0.0000  0.0000
In  0.1249  0.6250  0.6250
In  0.6250  0.1249  0.6250
In  0.6250  0.6250  0.1249
In  0.6250  0.6250  0.6250
Pb  0.2500  0.2500  0.2500

***

The following is a computed X-ray powder pattern of Ac3Nb2N7. It was derived from a structure optimized by DFT (GGA-PBE), using λ = 1.5418 Å (Cu Kα).

The 8 most intense peaks (2θ = 10–80°), most intense first:
- 29.9 deg, I = 100
- 30.3 deg, I = 61
- 53.6 deg, I = 41
- 43.4 deg, I = 29
- 39.6 deg, I = 21
- 21.7 deg, I = 18
- 52.8 deg, I = 14
- 24.9 deg, I = 11

Cell and atoms:
Unit cell a=11.1195 b=11.1195 c=11.1195 alpha=158.40 beta=158.40 gamma=30.74
Atoms (fractional coordinates):
Ac  0.0000  0.0000  0.0000
Ac  0.1828  0.1828  0.0000
Ac  0.8172  0.8172  0.0000
Nb  0.4008  0.4008  0.0000
Nb  0.5992  0.5992  0.0000
N  0.0954  0.5954  0.5000
N  0.3034  0.3034  0.0000
N  0.4046  0.9046  0.5000
N  0.5000  0.5000  0.0000
N  0.5954  0.0954  0.5000
N  0.6966  0.6966  0.0000
N  0.9046  0.4046  0.5000

***

The following is a computed X-ray powder pattern of Na2Ag3F6. It was derived from a structure optimized by DFT (GGA-PBE), using λ = 1.5418 Å (Cu Kα).

The 8 most intense peaks (2θ = 10–80°), most intense first:
- 15.1 deg, I = 100
- 38.4 deg, I = 77
- 31.5 deg, I = 53
- 34.5 deg, I = 42
- 30.8 deg, I = 25
- 30.5 deg, I = 18
- 49.9 deg, I = 18
- 49.8 deg, I = 17

Cell and atoms:
Unit cell a=5.8575 b=5.8575 c=11.7069 alpha=90.11 beta=90.11 gamma=59.39
Atoms (fractional coordinates):
Na  0.1691  0.1690  0.0001
Na  0.1690  0.1691  0.5001
Na  0.8309  0.8310  0.9999
Na  0.8310  0.8309  0.4999
Ag  0.0862  0.6071  0.2500
Ag  0.3064  0.6936  0.7500
Ag  0.3929  0.9138  0.2500
Ag  0.6071  0.0862  0.7500
Ag  0.6936  0.3064  0.2500
Ag  0.9138  0.3929  0.7500
F  0.1247  0.5165  0.6263
F  0.1250  0.5165  0.8739
F  0.1496  0.8502  0.1155
F  0.1498  0.8504  0.3845
F  0.4835  0.8750  0.6261
F  0.4835  0.8753  0.8737
F  0.5165  0.1247  0.1263
F  0.5165  0.1250  0.3739
F  0.8502  0.1496  0.6155
F  0.8504  0.1498  0.8845
F  0.8750  0.4835  0.1261
F  0.8753  0.4835  0.3737

***

The following is a computed X-ray powder pattern of NbAl4F2. It was derived from a structure optimized by DFT (GGA-PBE), using λ = 1.5418 Å (Cu Kα).

The 8 most intense peaks (2θ = 10–80°), most intense first:
- 18.4 deg, I = 100
- 11.0 deg, I = 41
- 35.5 deg, I = 36
- 24.9 deg, I = 29
- 40.3 deg, I = 25
- 22.1 deg, I = 25
- 42.2 deg, I = 19
- 43.3 deg, I = 17

Cell and atoms:
Unit cell a=8.7972 b=8.7972 c=8.7972 alpha=146.58 beta=146.58 gamma=47.99
Atoms (fractional coordinates):
Nb  0.0000  0.0000  0.0000
Al  0.0000  0.5000  0.5000
Al  0.1576  0.1576  0.0000
Al  0.5000  0.0000  0.5000
Al  0.8424  0.8424  0.0000
F  0.2624  0.2624  0.0000
F  0.7376  0.7376  0.0000

***

The following is a computed X-ray powder pattern of Mg3Zn4. It was derived from a structure optimized by DFT (GGA-PBE), using λ = 1.5418 Å (Cu Kα).

The 8 most intense peaks (2θ = 10–80°), most intense first:
- 39.1 deg, I = 100
- 37.6 deg, I = 62
- 68.8 deg, I = 34
- 16.1 deg, I = 32
- 54.2 deg, I = 21
- 41.1 deg, I = 12
- 29.0 deg, I = 11
- 71.7 deg, I = 11

Cell and atoms:
Unit cell a=11.2821 b=11.2821 c=11.2821 alpha=162.75 beta=162.75 gamma=24.49
Atoms (fractional coordinates):
Mg  0.0000  0.0000  0.0000
Mg  0.2953  0.2953  0.0000
Mg  0.7047  0.7047  0.0000
Zn  0.1325  0.1325  0.0000
Zn  0.4270  0.4270  0.0000
Zn  0.5730  0.5730  0.0000
Zn  0.8675  0.8675  0.0000

***

The following is a computed X-ray powder pattern of In7Hg12Pb2. It was derived from a structure optimized by DFT (GGA-PBE), using λ = 1.5418 Å (Cu Kα).

The 8 most intense peaks (2θ = 10–80°), most intense first:
- 31.5 deg, I = 100
- 30.8 deg, I = 91
- 35.2 deg, I = 75
- 30.7 deg, I = 67
- 32.7 deg, I = 66
- 30.4 deg, I = 65
- 34.1 deg, I = 59
- 34.7 deg, I = 49

Cell and atoms:
Unit cell a=6.1378 b=8.7914 c=11.3920 alpha=70.38 beta=86.65 gamma=83.02
Atoms (fractional coordinates):
In  0.0000  0.0000  0.0000
In  0.0262  0.5922  0.1058
In  0.3184  0.9199  0.7053
In  0.4610  0.2455  0.7417
In  0.5390  0.7545  0.2583
In  0.6816  0.0801  0.2947
In  0.9738  0.4078  0.8942
Hg  0.0416  0.7709  0.3009
Hg  0.1112  0.2154  0.1632
Hg  0.2344  0.0069  0.4278
Hg  0.3632  0.3694  0.4489
Hg  0.4616  0.8370  0.9794
Hg  0.4759  0.5480  0.8503
Hg  0.5241  0.4520  0.1497
Hg  0.5384  0.1630  0.0206
Hg  0.6368  0.6306  0.5511
Hg  0.7656  0.9931  0.5722
Hg  0.8888  0.7846  0.8368
Hg  0.9584  0.2291  0.6991
Pb  0.1275  0.6255  0.6056
Pb  0.8725  0.3745  0.3944

***

The following is a computed X-ray powder pattern of ErVPd6. It was derived from a structure optimized by DFT (GGA-PBE), using λ = 1.5418 Å (Cu Kα).

The 8 most intense peaks (2θ = 10–80°), most intense first:
- 39.0 deg, I = 100
- 45.4 deg, I = 48
- 79.5 deg, I = 34
- 66.1 deg, I = 30
- 33.6 deg, I = 9
- 24.9 deg, I = 6
- 67.3 deg, I = 3
- 57.6 deg, I = 3

Cell and atoms:
Unit cell a=3.9985 b=3.9985 c=7.9922 alpha=90.00 beta=90.00 gamma=90.00
Atoms (fractional coordinates):
Er  0.0000  0.0000  0.0000
V  0.0000  0.0000  0.5000
Pd  0.0000  0.5000  0.2672
Pd  0.0000  0.5000  0.7328
Pd  0.5000  0.0000  0.2672
Pd  0.5000  0.0000  0.7328
Pd  0.5000  0.5000  0.0000
Pd  0.5000  0.5000  0.5000

***

The following is a computed X-ray powder pattern of Mg3H4O5. It was derived from a structure optimized by DFT (GGA-PBE), using λ = 1.5418 Å (Cu Kα).

The 8 most intense peaks (2θ = 10–80°), most intense first:
- 39.8 deg, I = 100
- 14.3 deg, I = 78
- 44.4 deg, I = 65
- 59.0 deg, I = 49
- 21.5 deg, I = 33
- 36.2 deg, I = 31
- 56.0 deg, I = 28
- 62.7 deg, I = 21

Cell and atoms:
Unit cell a=3.1288 b=3.1288 c=12.3780 alpha=90.00 beta=90.00 gamma=120.00
Atoms (fractional coordinates):
Mg  0.0000  0.0000  0.0000
Mg  0.3333  0.6667  0.5990
Mg  0.6667  0.3333  0.4010
H  0.3333  0.6667  0.2379
H  0.3333  0.6667  0.8366
H  0.6667  0.3333  0.1634
H  0.6667  0.3333  0.7621
O  0.0000  0.0000  0.5000
O  0.3333  0.6667  0.3163
O  0.3333  0.6667  0.9148
O  0.6667  0.3333  0.0852
O  0.6667  0.3333  0.6837

***

The following is a computed X-ray powder pattern of HgPt4Se8. It was derived from a structure optimized by DFT (GGA-PBE), using λ = 1.5418 Å (Cu Kα).

The 8 most intense peaks (2θ = 10–80°), most intense first:
- 11.0 deg, I = 100
- 31.2 deg, I = 67
- 38.0 deg, I = 26
- 48.4 deg, I = 25
- 40.8 deg, I = 17
- 49.8 deg, I = 14
- 46.9 deg, I = 13
- 22.1 deg, I = 11

Cell and atoms:
Unit cell a=9.1341 b=9.1341 c=9.1341 alpha=48.61 beta=48.61 gamma=48.61
Atoms (fractional coordinates):
Hg  0.0000  0.0000  0.0000
Pt  0.0000  0.0000  0.5000
Pt  0.0000  0.5000  0.0000
Pt  0.5000  0.0000  0.0000
Pt  0.5000  0.5000  0.5000
Se  0.2209  0.2209  0.2209
Se  0.2206  0.7211  0.7211
Se  0.2789  0.2789  0.7794
Se  0.2789  0.7794  0.2789
Se  0.7211  0.2206  0.7211
Se  0.7211  0.7211  0.2206
Se  0.7794  0.2789  0.2789
Se  0.7791  0.7791  0.7791